No. 1
This entry pairs a crystal structure of K2SrSn3O8 with its simulated PXRD pattern. Radiation: Cu Ka. Structure: a structure optimized by DFT (PBE).
No peak broadening, texture or thermal motion is included.

Most intense lines, 2θ = 5–70°, most intense first:
d_spacing, I/Imax
6.230, 100.0
2.811, 73.9
2.904, 62.8
3.121, 56.8
2.429, 45.8
3.610, 40.9

a b c (Å): 7.292 7.292 7.292
angles (deg): 53.51 53.51 53.51
Sites, in units of the cell vectors:
K: 0.000 0.000 0.000
K: 0.370 0.370 0.370
Sr: 0.758 0.758 0.758
Sn: 0.372 0.372 0.875
Sn: 0.372 0.875 0.372
Sn: 0.875 0.372 0.372
O: 0.111 0.111 0.561
O: 0.111 0.561 0.111
O: 0.142 0.142 0.142
O: 0.185 0.628 0.628
O: 0.561 0.111 0.111
O: 0.604 0.604 0.604
O: 0.628 0.185 0.628
O: 0.628 0.628 0.185

No. 2
This entry pairs a crystal structure of Cs4Na5Au2 with its simulated PXRD pattern. Radiation: Cu Ka. Structure: a structure optimized by DFT (PBE).
No peak broadening, texture or thermal motion is included.

Most intense lines, 2θ = 5–70°, most intense first:
d_spacing, I/Imax
8.992, 100.0
3.622, 74.2
12.124, 61.0
3.183, 49.5
7.146, 43.5
3.392, 39.2

a b c (Å): 8.994 5.167 12.127
angles (deg): 90.00 91.28 90.00
Sites, in units of the cell vectors:
Cs: 0.180 0.000 0.146
Cs: 0.205 0.000 0.558
Cs: 0.795 0.000 0.442
Cs: 0.820 0.000 0.854
Na: 0.197 0.500 0.822
Na: 0.426 0.500 0.342
Na: 0.500 0.500 0.000
Na: 0.574 0.500 0.658
Na: 0.803 0.500 0.178
Au: 0.074 0.500 0.340
Au: 0.926 0.500 0.660

No. 3
This entry pairs a crystal structure of Y2Cu2O5 with its simulated PXRD pattern. Radiation: Cu Ka. Structure: a structure optimized by DFT (PBE).
No peak broadening, texture or thermal motion is included.

Most intense lines, 2θ = 5–70°, most intense first:
d_spacing, I/Imax
2.893, 100.0
2.727, 95.6
2.706, 48.3
2.972, 34.8
2.046, 31.8
1.923, 28.5

a b c (Å): 10.928 3.543 12.580
angles (deg): 90.00 90.00 90.00
Sites, in units of the cell vectors:
Y: 0.043 0.223 0.000
Y: 0.208 0.221 0.327
Y: 0.292 0.721 0.827
Y: 0.457 0.723 0.500
Y: 0.543 0.277 0.000
Y: 0.708 0.279 0.327
Y: 0.792 0.779 0.827
Y: 0.957 0.777 0.500
Cu: 0.012 0.339 0.717
Cu: 0.238 0.158 0.611
Cu: 0.262 0.658 0.111
Cu: 0.488 0.839 0.217
Cu: 0.512 0.161 0.717
Cu: 0.738 0.342 0.611
Cu: 0.762 0.842 0.111
Cu: 0.988 0.661 0.217
O: 0.072 0.274 0.566
O: 0.076 0.728 0.355
O: 0.125 0.354 0.164
O: 0.174 0.727 0.972
O: 0.178 0.220 0.762
O: 0.322 0.720 0.262
O: 0.326 0.227 0.472
O: 0.375 0.854 0.664
O: 0.424 0.228 0.855
O: 0.428 0.774 0.066
O: 0.572 0.226 0.566
O: 0.576 0.772 0.355
O: 0.625 0.146 0.164
O: 0.674 0.773 0.972
O: 0.678 0.280 0.762
O: 0.822 0.780 0.262
O: 0.826 0.273 0.472
O: 0.875 0.646 0.664
O: 0.924 0.272 0.855
O: 0.928 0.726 0.066

No. 4
This entry pairs a crystal structure of La4SmRh with its simulated PXRD pattern. Radiation: Cu Ka. Structure: a structure optimized by DFT (PBE).
No peak broadening, texture or thermal motion is included.

Most intense lines, 2θ = 5–70°, most intense first:
d_spacing, I/Imax
2.817, 100.0
2.940, 69.1
2.310, 37.8
3.078, 36.4
1.749, 22.6
1.722, 18.8

a b c (Å): 9.707 9.707 6.156
angles (deg): 108.41 108.41 46.71
Sites, in units of the cell vectors:
La: 0.134 0.636 0.385
La: 0.203 0.797 0.000
La: 0.326 0.326 0.826
La: 0.364 0.866 0.615
La: 0.636 0.134 0.385
La: 0.674 0.674 0.174
La: 0.797 0.203 0.000
La: 0.866 0.364 0.615
Sm: 0.198 0.198 0.198
Sm: 0.802 0.802 0.802
Rh: 0.500 0.500 0.265
Rh: 0.500 0.500 0.735

No. 5
This entry pairs a crystal structure of BaCd12Sn6 with its simulated PXRD pattern. Radiation: Cu Ka. Structure: a structure optimized by DFT (PBE).
No peak broadening, texture or thermal motion is included.

Most intense lines, 2θ = 5–70°, most intense first:
d_spacing, I/Imax
2.889, 100.0
3.136, 93.0
2.140, 68.4
2.202, 45.5
2.535, 42.3
3.456, 34.2

a b c (Å): 8.592 8.592 8.592
angles (deg): 107.13 107.13 107.13
Sites, in units of the cell vectors:
Ba: 0.000 0.000 0.000
Cd: 0.101 0.500 0.899
Cd: 0.101 0.899 0.500
Cd: 0.193 0.411 0.411
Cd: 0.411 0.193 0.411
Cd: 0.411 0.411 0.193
Cd: 0.500 0.101 0.899
Cd: 0.500 0.899 0.101
Cd: 0.589 0.589 0.807
Cd: 0.589 0.807 0.589
Cd: 0.807 0.589 0.589
Cd: 0.899 0.101 0.500
Cd: 0.899 0.500 0.101
Sn: 0.216 0.707 0.707
Sn: 0.293 0.293 0.784
Sn: 0.293 0.784 0.293
Sn: 0.707 0.216 0.707
Sn: 0.707 0.707 0.216
Sn: 0.784 0.293 0.293

No. 6
This entry pairs a crystal structure of SmNpSeN2 with its simulated PXRD pattern. Radiation: Cu Ka. Structure: a structure optimized by DFT (PBE).
No peak broadening, texture or thermal motion is included.

Most intense lines, 2θ = 5–70°, most intense first:
d_spacing, I/Imax
2.810, 100.0
2.718, 41.6
1.586, 36.6
3.670, 20.7
1.641, 20.3
1.922, 19.2

a b c (Å): 6.750 6.750 6.750
angles (deg): 146.92 146.92 47.49
Sites, in units of the cell vectors:
Sm: 0.000 0.000 0.000
Np: 0.313 0.313 0.000
Se: 0.653 0.653 0.000
N: 0.391 0.891 0.500
N: 0.891 0.391 0.500

No. 7
This entry pairs a crystal structure of Tb4Nd5Th4 with its simulated PXRD pattern. Radiation: Cu Ka. Structure: a structure optimized by DFT (PBE).
No peak broadening, texture or thermal motion is included.

Most intense lines, 2θ = 5–70°, most intense first:
d_spacing, I/Imax
2.950, 100.0
2.559, 33.6
1.542, 28.6
1.805, 24.1
2.545, 16.7
1.536, 14.5

a b c (Å): 9.572 9.572 9.572
angles (deg): 94.05 94.05 149.16
Sites, in units of the cell vectors:
Tb: 0.154 0.765 0.919
Tb: 0.235 0.154 0.389
Tb: 0.765 0.846 0.611
Tb: 0.846 0.235 0.081
Nd: 0.000 0.000 0.000
Nd: 0.302 0.538 0.840
Nd: 0.462 0.302 0.764
Nd: 0.538 0.698 0.236
Nd: 0.698 0.462 0.160
Th: 0.073 0.387 0.460
Th: 0.387 0.927 0.314
Th: 0.613 0.073 0.686
Th: 0.927 0.613 0.540

No. 8
This entry pairs a crystal structure of Sc3Ga3Pt with its simulated PXRD pattern. Radiation: Cu Ka. Structure: a structure optimized by DFT (PBE).
No peak broadening, texture or thermal motion is included.

Most intense lines, 2θ = 5–70°, most intense first:
d_spacing, I/Imax
2.554, 100.0
9.176, 86.2
2.232, 71.9
3.350, 57.1
2.007, 52.1
2.127, 37.1

a b c (Å): 9.572 9.572 9.572
angles (deg): 159.50 154.33 33.08
Sites, in units of the cell vectors:
Sc: 0.000 0.000 0.000
Sc: 0.387 0.387 0.000
Sc: 0.705 0.205 0.500
Ga: 0.129 0.629 0.500
Ga: 0.548 0.548 0.000
Ga: 0.846 0.846 0.000
Pt: 0.265 0.765 0.500